This entry pairs a crystal structure of NaBC4O8 with its theoretical PXRD pattern. Radiation: Cu Kα. Structure: the GGA-PBE geometry in Alexandria.

Peak list (10 most intense, 2θ = 5–70°, by angle)
index  2θ (°)  I_rel
1 1 0  13.5  12.9
2 0 0  21.2  100.0
0 0 2  22.0  79.8
1 1 2  26.0  19.6
3 1 0  33.1  16.7
3 1 1  35.0  47.3
1 1 3  36.1  68.2
3 1 2  40.2  9.0
2 4 0  40.7  16.2
0 4 2  41.2  11.1

Crystal structure
a = 8.397 Å, b = 10.435 Å, c = 8.063 Å
α = 90.00°, β = 90.00°, γ = 90.00°
Space group Cmcm (No. 63)
Asymmetric unit:
Na (0.000, 0.072, 0.250)
B (0.000, 0.430, 0.750)
C (0.000, 0.223, 0.655)
C (0.091, 0.362, 0.250)
O (0.000, 0.127, 0.568)
O (0.000, 0.344, 0.604)
O (0.141, 0.483, 0.250)
O (0.174, 0.266, 0.250)